This entry pairs a crystal structure of PaTl2As3O12 with its simulated PXRD pattern. Radiation: a wavelength of 1.5418 Å. Structure: the PBE geometry in Alexandria.

Crystal structure
Cell: 6.9585 6.9585 18.7791 Å, 90.00 90.00 120.00°
Space group R-3m (No. 166, hexagonal axes)
Inequivalent atoms, fractional coordinates:
1 Pa 0.0000 0.0000 0.0000 x3
2 Tl 0.0000 0.0000 0.3949 x6
3 As 0.0000 0.5000 0.5000 x9
4 O 0.0527 0.5264 0.5962 x18
5 O 0.0662 0.5331 0.8503 x18

Largest 10 diffraction maxima, sorted by position, 2θ = 15–90°:
- 17.49 deg, rel. 36, (0 1 2)
- 25.60 deg, rel. 65, (1 1 0)
- 27.99 deg, rel. 100, (0 1 5)
- 29.37 deg, rel. 85, (1 1 3)
- 31.17 deg, rel. 51, (2 0 2)
- 46.64 deg, rel. 43, (1 2 5)
- 47.54 deg, rel. 25, (3 0 3)
- 49.20 deg, rel. 23, (2 0 8)
- 52.61 deg, rel. 35, (2 2 0)
- 60.64 deg, rel. 25, (3 1 5)

This entry pairs a crystal structure of As3PbO9 with its simulated PXRD pattern. Radiation: a wavelength of 1.5418 Å. Structure: the PBE geometry in Alexandria.

Crystal structure
Cell: 10.3482 10.6788 7.5758 Å, 90.00 90.00 90.00°
Space group C222_1 (No. 20)
Inequivalent atoms, fractional coordinates:
1 As 0.0084 0.2104 0.0379 x8
2 As 0.2157 0.0000 0.5000 x4
3 Pb 0.2075 0.5000 0.5000 x4
4 O 0.0000 0.1374 0.2500 x4
5 O 0.0318 0.3626 0.4626 x8
6 O 0.1071 0.1197 0.5785 x8
7 O 0.1580 0.1779 0.9618 x8
8 O 0.2049 0.4600 0.8149 x8

Largest 10 diffraction maxima, sorted by position, 2θ = 15–90°:
- 16.60 deg, rel. 15, (0 2 0)
- 16.71 deg, rel. 37, (1 1 1)
- 23.49 deg, rel. 67, (0 0 2)
- 23.95 deg, rel. 100, (2 2 0)
- 26.48 deg, rel. 14, (1 3 0)
- 26.72 deg, rel. 25, (2 2 1)
- 33.79 deg, rel. 60, (2 2 2)
- 40.54 deg, rel. 15, (4 2 1)
- 41.38 deg, rel. 14, (0 4 2)
- 50.56 deg, rel. 19, (4 4 1)

This entry pairs a crystal structure of As2Pb3O8 with its simulated PXRD pattern. Radiation: a wavelength of 1.5418 Å. Structure: the PBE geometry in Alexandria.

Crystal structure
Cell: 7.5602 6.4369 9.5515 Å, 90.00 114.09 90.00°
Space group P2_1/c (No. 14)
Inequivalent atoms, fractional coordinates:
1 As 0.2001 0.0203 0.4001 x4
2 Pb 0.0000 0.0000 0.0000 x2
3 Pb 0.3742 0.5978 0.2841 x4
4 O 0.0377 0.5367 0.2278 x4
5 O 0.2472 0.6966 0.0201 x4
6 O 0.2761 0.2367 0.5136 x4
7 O 0.3215 0.5308 0.7824 x4

Largest 10 diffraction maxima, sorted by position, 2θ = 15–90°:
- 23.64 deg, rel. 20, (1 1 -2)
- 23.85 deg, rel. 18, (1 1 1)
- 27.36 deg, rel. 100, (2 1 -1)
- 27.72 deg, rel. 27, (0 2 0)
- 28.33 deg, rel. 54, (1 0 2)
- 29.59 deg, rel. 31, (0 2 1)
- 31.35 deg, rel. 74, (1 1 -3)
- 40.05 deg, rel. 21, (1 2 2)
- 44.05 deg, rel. 20, (3 0 -4)
- 46.95 deg, rel. 23, (3 1 1)

This entry pairs a crystal structure of AsPtPbO5 with its simulated PXRD pattern. Radiation: a wavelength of 1.5418 Å. Structure: the PBE geometry in Alexandria.

Crystal structure
Cell: 6.4490 9.0979 8.9904 Å, 90.00 106.98 90.00°
Space group C2/c (No. 15)
Inequivalent atoms, fractional coordinates:
1 As 0.0000 0.1775 0.2500 x4
2 Pt 0.0000 0.1877 0.7500 x4
3 Pb 0.0000 0.5000 0.0000 x4
4 O 0.0000 0.3952 0.7500 x4
5 O 0.1124 0.0621 0.4019 x8
6 O 0.1737 0.3126 0.2076 x8

Largest 10 diffraction maxima, sorted by position, 2θ = 15–90°:
- 23.61 deg, rel. 90, (1 1 -2)
- 28.57 deg, rel. 100, (0 2 2)
- 28.95 deg, rel. 64, (2 0 0)
- 30.25 deg, rel. 36, (1 1 2)
- 32.91 deg, rel. 74, (1 3 0)
- 36.33 deg, rel. 37, (2 2 -2)
- 42.03 deg, rel. 24, (0 0 4)
- 45.50 deg, rel. 27, (2 2 2)
- 50.63 deg, rel. 35, (1 3 -4)
- 53.87 deg, rel. 24, (3 3 0)

This entry pairs a crystal structure of RbAs2Pb2O6 with its simulated PXRD pattern. Radiation: a wavelength of 1.5418 Å. Structure: the PBE geometry in Alexandria.

Crystal structure
Cell: 5.4927 6.8025 7.4023 Å, 110.61 91.12 112.22°
Space group P-1 (No. 2)
Inequivalent atoms, fractional coordinates:
1 Rb 0.0000 0.0000 0.0000 x1
2 As 0.3596 0.7870 0.2890 x2
3 Pb 0.2972 0.5791 0.7322 x2
4 O 0.0205 0.7457 0.2604 x2
5 O 0.3470 0.5249 0.3016 x2
6 O 0.4549 0.7921 0.0649 x2

Largest 10 diffraction maxima, sorted by position, 2θ = 15–90°:
- 15.27 deg, rel. 64, (0 1 0)
- 23.87 deg, rel. 100, (-1 1 1)
- 24.61 deg, rel. 65, (0 1 -2)
- 26.13 deg, rel. 65, (0 0 2)
- 26.67 deg, rel. 38, (1 1 -1)
- 27.43 deg, rel. 66, (1 -2 1)
- 27.92 deg, rel. 58, (1 1 0)
- 28.51 deg, rel. 29, (1 -2 0)
- 32.62 deg, rel. 69, (2 -1 0)
- 43.39 deg, rel. 30, (0 3 -1)

This entry pairs a crystal structure of SbAs2PbO8 with its simulated PXRD pattern. Radiation: a wavelength of 1.5418 Å. Structure: the PBE geometry in Alexandria.

Crystal structure
Cell: 5.0196 5.0196 24.1880 Å, 90.00 90.00 120.00°
Space group R32 (No. 155, hexagonal axes)
Inequivalent atoms, fractional coordinates:
1 Sb 0.0000 0.0000 0.0000 x3
2 As 0.0000 0.0000 0.2531 x6
3 Pb 0.0000 0.0000 0.5000 x3
4 O 0.0000 0.0000 0.1828 x6
5 O 0.0012 0.3458 0.6090 x18

Largest 10 diffraction maxima, sorted by position, 2θ = 15–90°:
- 21.72 deg, rel. 13, (0 1 2)
- 25.23 deg, rel. 100, (1 0 4)
- 35.78 deg, rel. 39, (1 1 0)
- 36.19 deg, rel. 34, (0 1 8)
- 42.42 deg, rel. 12, (1 1 6)
- 44.28 deg, rel. 21, (0 2 4)
- 51.80 deg, rel. 13, (2 0 8)
- 58.18 deg, rel. 20, (2 1 4)
- 58.75 deg, rel. 21, (1 1 12)
- 64.55 deg, rel. 13, (1 2 8)

This entry pairs a crystal structure of Zn3SbAs2Pb3O14 with its simulated PXRD pattern. Radiation: a wavelength of 1.5418 Å. Structure: the PBE geometry in Alexandria.

Crystal structure
Cell: 8.6223 8.6223 5.3285 Å, 90.00 90.00 120.00°
Space group P321 (No. 150)
Inequivalent atoms, fractional coordinates:
1 Zn 0.0000 0.2395 0.0000 x3
2 Sb 0.0000 0.0000 0.5000 x1
3 As 0.3333 0.6667 0.0526 x2
4 Pb 0.0000 0.6015 0.5000 x3
5 O 0.0826 0.8662 0.7231 x6
6 O 0.1640 0.4715 0.1862 x6
7 O 0.3333 0.6667 0.7315 x2

Largest 10 diffraction maxima, sorted by position, 2θ = 15–90°:
- 20.60 deg, rel. 18, (1 1 0)
- 26.60 deg, rel. 100, (1 1 1)
- 29.21 deg, rel. 69, (0 2 1)
- 31.70 deg, rel. 22, (2 1 0)
- 33.64 deg, rel. 17, (0 0 2)
- 36.05 deg, rel. 37, (3 0 0)
- 46.90 deg, rel. 24, (1 2 2)
- 47.08 deg, rel. 23, (3 1 1)
- 50.16 deg, rel. 19, (0 3 2)
- 56.43 deg, rel. 26, (3 2 1)

This entry pairs a crystal structure of SrAs2PbO8 with its simulated PXRD pattern. Radiation: a wavelength of 1.5418 Å. Structure: the PBE geometry in Alexandria.

Crystal structure
Cell: 5.0343 5.0343 23.9182 Å, 90.00 90.00 120.00°
Space group R32 (No. 155, hexagonal axes)
Inequivalent atoms, fractional coordinates:
1 Sr 0.0000 0.0000 0.0000 x3
2 As 0.0000 0.0000 0.2484 x6
3 Pb 0.0000 0.0000 0.5000 x3
4 O 0.0000 0.0000 0.3193 x6
5 O 0.0024 0.3294 0.7736 x18

Largest 10 diffraction maxima, sorted by position, 2θ = 15–90°:
- 20.71 deg, rel. 13, (1 0 1)
- 25.28 deg, rel. 100, (1 0 4)
- 35.67 deg, rel. 41, (1 1 0)
- 36.44 deg, rel. 35, (0 1 8)
- 44.22 deg, rel. 22, (0 2 4)
- 51.91 deg, rel. 13, (2 0 8)
- 58.06 deg, rel. 21, (2 1 4)
- 59.12 deg, rel. 21, (1 1 12)
- 64.07 deg, rel. 12, (3 0 0)
- 64.58 deg, rel. 13, (1 2 8)